(1)
Starting from a crystal structure in Alexandria, relaxed with PBE, the X-ray powder pattern of Ca2HgOs2 was calculated for a wavelength of 1.5418 Å.
Intensities are scaled so that the largest is 100.

Principal peaks in the range 10 to 90 degrees two-theta, low angle first:
2θ (°)	d (Å)	I/Imax
19.05	4.658	100.0
28.84	3.096	23.0
32.22	2.778	36.7
34.80	2.578	77.0
38.66	2.329	31.7
41.24	2.189	41.1
45.80	1.981	41.0
51.49	1.775	20.5
57.81	1.595	30.6
72.53	1.303	19.3

Structural model:
```
data_Ca2HgOs2
_cell_length_a 6.9218
_cell_length_b 6.9218
_cell_length_c 4.6576
_cell_angle_alpha 90.00
_cell_angle_beta 90.00
_cell_angle_gamma 90.00
_symmetry_space_group_name_H-M 'P 4/m b m'
_symmetry_Int_Tables_number 127
_symmetry_space_group_name_Hall '-P 4 2ab'
loop_
_atom_site_label
_atom_site_type_symbol
_atom_site_fract_x
_atom_site_fract_y
_atom_site_fract_z
Ca1 Ca 0.1741 0.3259 0.0000
Hg1 Hg 0.0000 0.0000 0.5000
Os1 Os 0.1192 0.6192 0.5000
```

***

(2)
Starting from a crystal structure in Alexandria, relaxed with PBE, the X-ray powder pattern of PmSm6Al was calculated for a wavelength of 1.5418 Å.
Intensities are scaled so that the largest is 100.

Principal peaks in the range 10 to 90 degrees two-theta, low angle first:
2θ (°)	d (Å)	I/Imax
31.01	2.884	100.0
35.14	2.554	17.1
36.36	2.471	33.1
51.46	1.776	23.1
52.37	1.747	11.7
60.48	1.531	13.1
62.12	1.494	27.5
64.64	1.442	11.6
84.07	1.151	10.4
85.51	1.136	5.8

Structural model:
```
data_PmSm6Al
_cell_length_a 4.9415
_cell_length_b 4.9415
_cell_length_c 10.2165
_cell_angle_alpha 90.00
_cell_angle_beta 90.00
_cell_angle_gamma 90.00
_symmetry_space_group_name_H-M 'P 4/m m m'
_symmetry_Int_Tables_number 123
_symmetry_space_group_name_Hall '-P 4 2'
loop_
_atom_site_label
_atom_site_type_symbol
_atom_site_fract_x
_atom_site_fract_y
_atom_site_fract_z
Pm1 Pm 0.0000 0.0000 0.0000
Sm1 Sm 0.0000 0.5000 0.2633
Sm2 Sm 0.5000 0.5000 0.0000
Sm3 Sm 0.5000 0.5000 0.5000
Al1 Al 0.0000 0.0000 0.5000
```